# 1
LiAsH6O3F6: theoretical XRD peak list (Cu Kα X-rays), based on the GGA-PBE geometry in Alexandria.
Lines closer than 0.1° are merged.

Crystal structure
```
LiAsH6O3F6
1.0
8.5407 0.0000 0.0000
-4.2704 7.3965 0.0000
0.0000 0.0000 5.5702
Li As H O F
2 2 12 6 12
Cartesian
0.0000 0.0000 0.0000
0.0000 0.0000 2.7851
0.0000 4.9310 2.2304
4.2704 2.4655 5.0155
-0.7747 2.2231 4.1231
-2.7325 5.6140 4.1231
0.7747 2.2231 4.1231
-1.9577 6.9559 4.1231
2.3126 0.4406 1.3380
1.5379 1.7825 1.3380
2.7325 5.6140 4.1231
1.9577 6.9559 4.1231
6.2281 0.4406 1.3380
3.4956 5.1734 1.3380
7.0028 1.7825 1.3380
5.0451 5.1734 1.3380
0.0000 1.6306 4.1777
-2.8582 6.5812 4.1777
1.4121 0.8153 1.3926
2.8582 6.5812 4.1777
7.1286 0.8153 1.3926
4.2704 5.7659 1.3926
-1.2566 4.2055 3.2642
0.0000 3.4742 1.2207
-1.2616 5.6593 1.2207
1.2566 4.2055 3.2642
0.0000 6.3819 3.2642
3.0088 1.7371 4.0057
1.2616 5.6593 1.2207
4.2704 1.0145 0.4792
3.0138 3.1910 0.4792
5.5319 1.7371 4.0057
4.2703 3.9222 4.0057
5.5269 3.1910 0.4792
```

Principal peaks in the range 5° ≤ 2θ ≤ 70°, sorted by position:
2theta  Rel. int.
11.97  28
19.95  100
20.80  51
28.98  33
39.99  30
49.36  16

---

# 2
TlAsH2F10: theoretical XRD peak list (Cu Kα X-rays), based on the GGA-PBE geometry in Alexandria.
Lines closer than 0.1° are merged.

Crystal structure
```
TlAsH2F10
1.0
5.6823 0.0000 0.0000
0.0000 5.9762 0.0000
-3.0520 0.0000 21.9779
Tl As H F
4 4 8 40
Cartesian
0.6625 0.7200 5.0569
-0.8635 2.2681 16.0459
3.4938 3.7081 5.9321
1.9678 5.2562 16.9210
2.2732 4.4650 2.2157
0.7471 4.4992 13.2047
1.8831 1.4769 8.7732
0.3571 1.5111 19.7622
-1.0909 4.3708 8.7208
-2.6169 4.5934 19.7097
-2.4215 4.3945 21.7217
-0.8955 4.5697 10.7327
3.5257 1.4064 11.2452
5.0518 1.5817 0.2563
5.2472 1.3827 2.2682
3.7212 1.6053 13.2572
-2.7943 3.9772 20.9097
-1.2683 4.9870 9.9208
-0.8978 3.9427 7.8172
-2.4238 5.0215 18.8062
-1.9444 0.3676 16.4489
-0.4184 2.6205 5.4599
-0.4626 3.9262 11.9925
1.0635 5.0381 1.0035
0.9686 3.7804 3.1742
-0.5574 5.1839 14.1632
0.6941 0.9950 7.5062
-0.8320 1.9931 18.4952
-0.9152 0.7386 20.6608
0.6108 2.2495 9.6719
2.0101 0.0524 3.1148
0.4840 2.9357 14.1038
0.2015 4.0612 16.8272
1.7275 4.9030 5.8383
0.9728 0.0362 12.3681
2.4988 2.9519 1.3791
0.1314 3.0243 20.5988
1.6574 5.9400 9.6099
0.9028 1.0731 16.1397
2.4288 1.9149 5.1507
2.1462 3.0404 7.8742
0.6202 5.9238 18.8631
2.0194 3.7267 12.3061
3.5455 5.2376 1.3171
3.4622 3.9831 3.4828
1.9362 4.9812 14.4717
3.1877 0.7923 7.8147
1.6616 2.1958 18.8037
1.5668 0.9381 20.9744
3.0928 2.0500 9.9855
3.0486 3.3556 16.5180
4.5746 5.6086 5.5291
5.0540 0.9546 3.1718
3.5280 2.0335 14.1607
3.8986 0.9891 12.0572
5.4246 1.9989 1.0682
```

Principal peaks in the range 5° ≤ 2θ ≤ 70°, sorted by position:
2theta  Rel. int.
8.05  100
21.67  26
22.40  65
24.30  16
28.45  15
30.18  15

---

# 3
HgAsF7: theoretical XRD peak list (Cu Kα X-rays), based on the GGA-PBE geometry in Alexandria.
Lines closer than 0.1° are merged.

Crystal structure
```
HgAsF7
1.0
7.3318 0.0000 0.0000
0.0000 10.2024 0.0000
-0.8555 0.0000 7.9090
Hg As F
4 4 28
Cartesian
1.3402 2.4782 3.0026
0.9124 2.6230 6.9571
5.5638 7.5794 0.9519
5.1361 7.7242 4.9064
1.8393 5.7401 1.6019
1.4115 9.5635 5.5564
5.0647 0.6389 2.3526
4.6370 4.4623 6.3071
0.0245 0.2636 6.2353
0.4522 4.8377 2.2808
0.7586 7.0769 1.1391
0.3309 8.2267 5.0936
1.0833 0.1261 3.9684
1.5110 4.9751 0.0139
1.4743 1.7858 0.9823
1.0466 3.3154 4.9368
2.1666 6.4826 3.1409
1.7389 8.8210 7.0954
2.4516 0.7587 5.9668
2.8794 4.3426 2.0123
3.2162 6.5725 0.8527
2.7885 8.7312 4.8072
3.6878 1.4713 3.1018
3.2601 3.6299 7.0563
3.5969 5.8599 5.8967
4.0246 9.4438 1.9422
4.7374 1.3814 0.8136
4.3096 3.7198 4.7681
5.4297 6.8870 2.9722
5.0020 8.4166 6.9267
4.9653 5.2274 7.8952
5.3930 10.0763 3.9406
6.1454 1.9757 2.8154
5.7177 3.1255 6.7699
6.0240 5.3648 5.6282
6.4518 9.9389 1.6737
```

Principal peaks in the range 5° ≤ 2θ ≤ 70°, sorted by position:
2theta  Rel. int.
14.94  100
24.14  63
24.42  57
28.97  54
30.14  49
45.90  26

---

# 4
HgAs2F6: theoretical XRD peak list (Cu Kα X-rays), based on the GGA-PBE geometry in Alexandria.
Lines closer than 0.1° are merged.

Crystal structure
```
HgAs2F6
1.0
-4.0452 4.5982 5.1926
4.0452 -4.5982 5.1926
4.0452 4.5982 -5.1926
Hg As F
2 4 12
Cartesian
0.0000 0.0000 2.5963
0.0000 0.0000 7.7889
1.9440 1.3656 0.0000
1.9440 -1.3656 5.1926
2.1012 5.9639 0.0000
2.1012 3.2326 5.1926
5.7713 0.3804 0.0000
3.0761 1.7455 -1.3004
3.0761 -1.7455 3.8922
3.0761 1.7455 1.3004
-0.9691 2.8528 1.3004
1.7261 4.2178 0.0000
2.3191 0.3804 5.1926
5.0143 1.7455 3.8922
0.9691 2.8528 3.8922
0.9691 6.3437 1.3004
0.9691 2.8528 6.4930
-1.7261 4.2178 5.1926
```

Principal peaks in the range 5° ≤ 2θ ≤ 70°, sorted by position:
2theta  Rel. int.
14.58  86
22.53  91
23.85  48
25.88  34
27.96  100
34.22  35

---

# 5
Hg2AsF6: theoretical XRD peak list (Cu Kα X-rays), based on the GGA-PBE geometry in Alexandria.
Lines closer than 0.1° are merged.

Crystal structure
```
Hg2AsF6
1.0
-2.8505 2.8505 9.8903
2.8505 -2.8505 9.8903
2.8505 2.8505 -9.8903
Hg As F
4 2 12
Cartesian
0.0000 0.0000 0.0000
1.4253 1.4253 -4.9452
1.4253 -1.4253 4.9452
0.0000 2.8505 0.0000
2.8505 1.4253 2.4726
0.0000 1.4253 7.4177
1.5938 0.1685 2.4726
4.1073 0.1685 2.4726
2.8505 1.4253 0.6984
1.5938 3.0190 -2.4726
1.2568 0.1685 7.4177
2.8505 1.4253 4.2468
0.0000 1.4253 5.6435
1.5938 2.6820 2.4726
1.2568 -0.1685 12.3629
0.0000 1.4253 9.1919
-1.2568 2.6820 7.4177
1.2568 2.6820 7.4177
```

Principal peaks in the range 5° ≤ 2θ ≤ 70°, sorted by position:
2theta  Rel. int.
20.60  100
27.44  41
32.69  75
35.49  63
41.90  38
48.79  41

---

# 6
Hg4AsI2F: theoretical XRD peak list (Cu Kα X-rays), based on the GGA-PBE geometry in Alexandria.
Lines closer than 0.1° are merged.

Crystal structure
```
Hg4AsI2F
1.0
5.8120 -7.3391 0.0000
5.8120 7.3391 0.0000
-5.4819 0.0000 5.9391
Hg As I F
8 2 4 2
Cartesian
0.2721 4.7488 5.0116
-2.6954 0.4201 5.7733
0.0455 -0.4201 2.8038
3.1290 4.7488 3.8971
3.0131 -4.7488 2.0420
6.0965 0.4201 3.1354
8.8375 -0.4201 0.1658
5.8699 -4.7488 0.9276
0.0000 0.0000 0.0000
-2.7409 0.0000 2.9696
2.9060 3.6695 0.0000
0.1650 -3.6695 2.9696
5.8120 0.0000 0.0000
3.0710 0.0000 2.9696
0.1650 3.6695 2.9696
2.9060 -3.6695 0.0000
```

Principal peaks in the range 5° ≤ 2θ ≤ 70°, sorted by position:
2theta  Rel. int.
12.02  48
20.92  36
24.12  66
30.80  100
32.48  57
39.01  47

---

# 7
Sb3As2S14I3F24: theoretical XRD peak list (Cu Kα X-rays), based on the GGA-PBE geometry in Alexandria.
Lines closer than 0.1° are merged.

Crystal structure
```
Sb3As2S14I3F24
1.0
8.5002 0.0000 0.0000
0.8031 9.5703 0.0000
1.1878 4.0250 12.8055
Sb As S I F
3 2 14 3 24
Cartesian
0.0000 0.0000 0.0000
5.0167 4.7437 8.4513
5.4743 8.8517 4.3542
4.6822 7.3859 0.0692
5.8088 6.2095 12.7363
1.8643 9.1431 11.0945
1.1656 1.9178 3.8716
1.7005 6.4618 3.8713
2.2507 7.5638 10.1108
2.6678 10.9782 9.7383
1.9116 3.3756 5.0230
2.7683 4.7777 3.6813
7.7227 8.8177 9.1242
8.5794 10.2197 7.7825
7.8233 2.6172 3.0673
8.2403 6.0316 2.6947
8.7905 7.1336 8.9342
9.3254 11.6775 8.9339
8.6267 4.4523 1.7110
0.9954 6.7977 6.4028
3.8236 9.8093 8.0646
6.6674 3.7860 4.7409
1.0414 9.1449 1.8545
0.3574 1.8505 0.4073
3.8689 13.3062 12.4945
3.1074 4.7046 8.6350
3.5737 8.8322 4.6495
3.4517 6.5669 1.0480
4.5281 7.3829 12.3721
5.3847 10.6160 11.3547
4.9627 6.6496 8.2834
4.7951 4.5619 6.5236
5.2564 4.9116 10.3519
5.3945 10.7588 4.2004
5.0965 2.8365 8.6051
5.2346 8.6838 2.4537
5.6960 9.0334 6.2819
5.5284 6.9457 4.5221
5.1064 2.9794 1.4508
5.9629 6.2124 0.4334
7.0394 7.0285 11.7575
6.9173 4.7632 8.1560
7.3837 8.8908 4.1705
6.6221 0.2891 0.3110
10.1337 11.7449 12.3982
9.4496 4.4504 10.9510
```

Principal peaks in the range 5° ≤ 2θ ≤ 70°, sorted by position:
2theta  Rel. int.
17.18  87
20.81  87
21.56  100
21.83  66
22.69  81
24.26  85

---

# 8
AsSeI3F6: theoretical XRD peak list (Cu Kα X-rays), based on the GGA-PBE geometry in Alexandria.
Lines closer than 0.1° are merged.

Crystal structure
```
AsSeI3F6
1.0
8.8194 0.0000 0.0000
0.0000 10.4746 0.0000
-1.8804 0.0000 12.6592
As Se I F
4 4 12 24
Cartesian
1.6595 2.3700 0.8500
0.7193 2.8673 7.1796
6.2197 7.6073 5.4797
5.2795 8.1046 11.8093
0.5180 7.0846 8.8361
1.4582 8.6273 2.5064
5.4808 1.8473 10.1528
6.4210 3.3900 3.8232
1.3379 6.2080 3.2693
0.3977 9.5039 9.5989
0.6675 5.6726 10.9429
1.6077 10.0393 4.6133
2.8481 6.9936 7.8046
3.7882 8.7183 1.4750
3.1508 1.7563 11.1842
4.0909 3.4810 4.8546
5.3313 0.4353 8.0459
6.2715 4.8020 1.7163
6.5413 0.9707 3.0603
5.6011 4.2666 9.3899
-0.7181 2.3902 6.2613
-1.6583 2.8471 12.5910
0.9332 0.7902 1.1940
-0.0070 4.4470 7.5236
0.0230 2.1860 8.6586
0.9632 3.0513 2.3290
0.4872 1.7030 11.9946
1.4274 3.5343 5.6650
1.4768 1.2830 6.8050
2.4169 3.9543 0.4754
3.1275 1.9058 1.7157
2.1873 3.3315 8.0453
4.7517 7.1431 4.6139
3.8115 8.5687 10.9435
4.5221 6.5203 12.1838
5.4622 9.1916 5.8542
5.5116 6.9403 6.9942
6.4518 8.7716 0.6646
5.9758 7.4233 10.3302
6.9160 8.2886 4.0006
6.9460 6.0275 5.1357
6.0058 9.6843 11.4653
8.5973 7.6275 0.0683
7.6571 8.0844 6.3979
```

Principal peaks in the range 5° ≤ 2θ ≤ 70°, sorted by position:
2theta  Rel. int.
20.36  100
23.41  31
23.61  20
24.54  26
26.48  21
27.52  22